(1)
For Li2Fe3NiO8, a crystal structure in Alexandria, relaxed with PBE+U gives the theoretical powder XRD pattern in this record (Cu Ka).
Peak positions follow from Bragg's law for the DFT cell and can differ from measured ones.

The 10 most intense peaks (2θ from 10° to 90°), low angle first:
18.3°, I 41, hkl 0 0 3
18.7°, I 100, hkl 1 0 1
35.7°, I 17, hkl 0 1 5
36.1°, I 37, hkl 1 1 3
36.4°, I 13, hkl 0 2 1
38.0°, I 13, hkl 2 0 2
43.9°, I 75, hkl 0 2 4
58.1°, I 12, hkl 1 2 5
63.2°, I 22, hkl 2 0 8
64.4°, I 22, hkl 2 2 0

Crystal structure
a b c (Å): 5.7894 5.7894 14.5500
angles (deg): 90.00 90.00 120.00
Space group R-3m (No. 166, hexagonal axes)
Unique sites:
Li: 0.0000 0.0000 0.1191 x6
Fe: 0.0000 0.5000 0.0000 x9
Ni: 0.0000 0.0000 0.5000 x3
O: 0.0000 0.0000 0.2621 x6
O: 0.0283 0.5142 0.2621 x18

(2)
For Li4Fe5Ni3O16, a crystal structure in Alexandria, relaxed with PBE+U gives the theoretical powder XRD pattern in this record (Cu Ka).
Peak positions follow from Bragg's law for the DFT cell and can differ from measured ones.

The 10 most intense peaks (2θ from 10° to 90°), low angle first:
18.8°, I 88, hkl 0 0 2
20.1°, I 100, hkl 2 0 1
33.7°, I 22, hkl 1 1 3
36.2°, I 23, hkl 3 1 -2
36.5°, I 43, hkl 3 1 2
37.1°, I 62, hkl 2 2 -1
40.8°, I 23, hkl 2 2 2
46.2°, I 24, hkl 2 2 -3
46.4°, I 38, hkl 4 0 3
64.1°, I 32, hkl 6 2 0

Crystal structure
a b c (Å): 10.073 5.787 9.435
angles (deg): 90.00 90.57 90.00
Space group Cm (No. 8)
Unique sites:
Li: 0.000 0.000 0.000 x2
Li: 0.004 0.000 0.501 x2
Li: 0.162 0.500 0.605 x2
Li: 0.324 0.000 0.104 x2
Fe: 0.158 0.500 0.006 x2
Fe: 0.327 0.500 0.281 x2
Fe: 0.337 0.000 0.506 x2
Fe: 0.409 0.246 0.783 x4
Ni: 0.082 0.254 0.282 x4
Ni: 0.165 0.000 0.781 x2
O: 0.004 0.000 0.189 x2
O: 0.012 0.500 0.167 x2
O: 0.069 0.251 0.896 x4
O: 0.156 0.500 0.388 x2
O: 0.162 0.000 0.391 x2
O: 0.229 0.273 0.156 x4
O: 0.262 0.229 0.655 x4
O: 0.332 0.500 0.895 x2
O: 0.334 0.000 0.890 x2
O: 0.424 0.253 0.396 x4
O: 0.479 0.000 0.665 x2
O: 0.490 0.500 0.688 x2

(3)
For Li5Fe2Ni5O12, a crystal structure in Alexandria, relaxed with PBE+U gives the theoretical powder XRD pattern in this record (Cu Ka).
Peak positions follow from Bragg's law for the DFT cell and can differ from measured ones.

The 10 most intense peaks (2θ from 10° to 90°), low angle first:
18.5°, I 38, hkl 0 0 2
20.0°, I 23, hkl 0 2 0
21.2°, I 20, hkl 1 1 -1
23.9°, I 30, hkl 1 1 1
37.5°, I 46, hkl 1 3 1
43.4°, I 100, hkl 1 3 -3
44.2°, I 47, hkl 2 0 2
63.5°, I 27, hkl 1 3 5
63.8°, I 27, hkl 3 3 -1
80.1°, I 19, hkl 0 0 8

Crystal structure
a b c (Å): 5.030 8.869 9.755
angles (deg): 90.00 100.61 90.00
Space group C2 (No. 5)
Unique sites:
Li: 0.000 0.000 0.000 x2
Li: 0.247 0.334 0.754 x4
Li: 0.249 0.997 0.754 x4
Fe: 0.000 0.162 0.500 x2
Fe: 0.000 0.662 0.000 x2
Ni: 0.000 0.334 0.000 x2
Ni: 0.000 0.494 0.500 x2
Ni: 0.000 0.830 0.500 x2
Ni: 0.244 0.161 0.247 x4
O: 0.116 0.502 0.879 x4
O: 0.118 0.007 0.381 x4
O: 0.120 0.316 0.384 x4
O: 0.129 0.177 0.882 x4
O: 0.132 0.663 0.381 x4
O: 0.150 0.822 0.882 x4